[1]
Starting from a PBE-relaxed structure, the powder X-ray diffraction pattern of Ge3Pb3O10 was calculated for Cu Kα X-rays.
Neutral-atom scattering factors, no anomalous dispersion.

Atomic structure:
```
data_Ge3Pb3O10
_symmetry_space_group_name_H-M 'P -1'
_symmetry_Int_Tables_number 2
_symmetry_space_group_name_Hall '-P 1'
_cell_length_a 7.4043
_cell_length_b 9.5187
_cell_length_c 9.5216
_cell_angle_alpha 113.62
_cell_angle_beta 104.81
_cell_angle_gamma 105.07
loop_
_atom_site_label
_atom_site_fract_x
_atom_site_fract_y
_atom_site_fract_z
Ge1 0.0201 0.2632 0.3680
Ge2 0.1534 0.1321 0.8955
Ge3 0.2420 0.3941 0.7622
Pb1 0.2039 0.5323 0.1939
Pb2 0.3270 0.8373 0.0309
Pb3 0.4906 0.6937 0.6619
O1 0.0215 0.3002 0.5683
O2 0.0338 0.2492 0.0008
O3 0.0458 0.0687 0.2657
O4 0.1839 0.5293 0.9180
O5 0.2161 0.7483 0.7479
O6 0.2336 0.4192 0.3888
O7 0.2793 0.2318 0.8004
O8 0.3464 0.1120 0.0303
O9 0.4268 0.9906 0.4424
O10 0.4666 0.4988 0.7498
```

Top 10 peaks for 5 to 70 degrees two-theta, in order of rising 2θ:
2θ (°)	Rel. int.	hkl
11.11	44.3	0 1 -1
17.57	16.3	1 -1 1
24.90	20.6	2 0 -1
26.22	29.9	-1 1 2
28.55	11.4	1 1 1
29.57	34.8	2 -1 1
29.67	100.0	0 3 -1
33.66	13.2	2 -3 0
33.74	11.5	2 1 -3
52.66	23.8	0 4 1



[2]
Starting from a PBE-relaxed structure, the powder X-ray diffraction pattern of Ge4PbO9 was calculated for Cu Kα X-rays.
Neutral-atom scattering factors, no anomalous dispersion.

Atomic structure:
```
data_Ge4PbO9
_symmetry_space_group_name_H-M 'P 3 2 1'
_symmetry_Int_Tables_number 150
_symmetry_space_group_name_Hall 'P 3 2"'
_cell_length_a 11.5686
_cell_length_b 11.5686
_cell_length_c 4.8316
_cell_angle_alpha 90.00
_cell_angle_beta 90.00
_cell_angle_gamma 120.00
loop_
_atom_site_label
_atom_site_fract_x
_atom_site_fract_y
_atom_site_fract_z
Ge1 0.0000 0.0000 0.0000
Ge2 0.0000 0.1803 0.5000
Ge3 0.1494 0.4906 0.3998
Ge4 0.3333 0.6667 0.8910
Pb1 0.0000 0.6757 0.0000
O1 0.0000 0.4877 0.5000
O2 0.0608 0.9066 0.7625
O3 0.1095 0.3250 0.2946
O4 0.1798 0.6011 0.1205
O5 0.2500 0.7389 0.6694
```

Top 10 peaks for 5 to 70 degrees two-theta, in order of rising 2θ:
2θ (°)	Rel. int.	hkl
15.32	15.0	1 1 0
24.00	100.0	1 1 1
26.69	17.8	3 0 0
29.98	15.3	2 1 1
30.92	55.5	2 2 0
32.59	79.5	0 3 1
45.54	29.4	4 1 1
49.14	23.1	2 2 2
51.00	24.2	3 3 1
54.99	17.7	6 0 0



[3]
Starting from a PBE-relaxed structure, the powder X-ray diffraction pattern of Ge4PbO9 was calculated for Cu Kα X-rays.
Neutral-atom scattering factors, no anomalous dispersion.

Atomic structure:
```
data_Ge4PbO9
_symmetry_space_group_name_H-M 'C 1 2 1'
_symmetry_Int_Tables_number 5
_symmetry_space_group_name_Hall 'C 2y'
_cell_length_a 7.4524
_cell_length_b 11.6419
_cell_length_c 4.7136
_cell_angle_alpha 90.00
_cell_angle_beta 115.09
_cell_angle_gamma 90.00
loop_
_atom_site_label
_atom_site_fract_x
_atom_site_fract_y
_atom_site_fract_z
Ge1 0.0000 0.0000 0.0000
Ge2 0.0000 0.1799 0.5000
Ge3 0.2213 0.4008 0.3189
Pb1 0.0000 0.6918 0.0000
O1 0.0000 0.4475 0.0000
O2 0.1056 0.8737 0.8415
O3 0.1328 0.1129 0.8643
O4 0.1966 0.2663 0.4851
O5 0.2250 0.0078 0.3945
```

Top 10 peaks for 5 to 70 degrees two-theta, in order of rising 2θ:
2θ (°)	Rel. int.	hkl
15.18	16.8	1 1 0
20.79	45.0	1 1 -1
25.81	32.8	2 0 -1
26.47	20.6	1 3 0
30.14	100.0	1 3 -1
30.65	51.4	0 4 0
37.24	12.8	3 1 -1
40.52	14.6	2 0 1
40.91	14.3	2 4 0
50.59	17.7	3 3 -2



[4]
Starting from a PBE-relaxed structure, the powder X-ray diffraction pattern of GePb3O5 was calculated for Cu Kα X-rays.
Neutral-atom scattering factors, no anomalous dispersion.

Atomic structure:
```
data_GePb3O5
_symmetry_space_group_name_H-M 'C m m 2'
_symmetry_Int_Tables_number 35
_symmetry_space_group_name_Hall 'C 2 -2'
_cell_length_a 7.5481
_cell_length_b 7.6837
_cell_length_c 5.5245
_cell_angle_alpha 90.00
_cell_angle_beta 90.00
_cell_angle_gamma 90.00
loop_
_atom_site_label
_atom_site_fract_x
_atom_site_fract_y
_atom_site_fract_z
Ge1 0.0000 0.0000 0.0000
Pb1 0.0000 0.5000 0.0318
Pb2 0.2500 0.2500 0.5041
O1 0.0000 0.1865 0.1926
O2 0.0000 0.5000 0.4500
O3 0.1912 0.0000 0.8113
```

Top 10 peaks for 5 to 70 degrees two-theta, in order of rising 2θ:
2θ (°)	Rel. int.	hkl
28.29	100.0	0 2 1
28.65	99.2	2 0 1
32.41	32.3	0 0 2
33.28	63.2	2 2 0
47.14	58.7	2 2 2
47.32	15.0	0 4 0
55.32	15.4	0 2 3
55.53	14.9	2 0 3
56.26	30.0	2 4 1
56.86	29.0	4 2 1



[5]
Starting from a PBE-relaxed structure, the powder X-ray diffraction pattern of PuGePbO5 was calculated for Cu Kα X-rays.
Neutral-atom scattering factors, no anomalous dispersion.

Atomic structure:
```
data_PuGePbO5
_symmetry_space_group_name_H-M 'C 1 2/c 1'
_symmetry_Int_Tables_number 15
_symmetry_space_group_name_Hall '-C 2yc'
_cell_length_a 7.2096
_cell_length_b 9.7981
_cell_length_c 7.8392
_cell_angle_alpha 90.00
_cell_angle_beta 112.88
_cell_angle_gamma 90.00
loop_
_atom_site_label
_atom_site_fract_x
_atom_site_fract_y
_atom_site_fract_z
Pu1 0.0000 0.0000 0.0000
Ge1 0.0000 0.3200 0.2500
Pb1 0.0000 0.3295 0.7500
O1 0.0000 0.0828 0.7500
O2 0.1070 0.2140 0.1246
O3 0.1782 0.4310 0.4115
```

Top 10 peaks for 5 to 70 degrees two-theta, in order of rising 2θ:
2θ (°)	Rel. int.	hkl
24.76	97.3	1 1 -2
26.84	76.9	2 0 0
30.50	100.0	1 3 0
30.76	65.8	0 2 2
33.80	31.4	1 1 2
34.04	34.8	2 2 -2
39.68	27.5	3 1 -2
49.75	30.4	3 3 0
54.96	24.2	1 3 -4
59.16	27.3	4 0 -4



[6]
Starting from a PBE-relaxed structure, the powder X-ray diffraction pattern of PuGePbO6 was calculated for Cu Kα X-rays.
Neutral-atom scattering factors, no anomalous dispersion.

Atomic structure:
```
data_PuGePbO6
_symmetry_space_group_name_H-M 'P 3 1 2'
_symmetry_Int_Tables_number 149
_symmetry_space_group_name_Hall 'P 3 2'
_cell_length_a 5.3594
_cell_length_b 5.3594
_cell_length_c 5.4314
_cell_angle_alpha 90.00
_cell_angle_beta 90.00
_cell_angle_gamma 120.00
loop_
_atom_site_label
_atom_site_fract_x
_atom_site_fract_y
_atom_site_fract_z
Pu1 0.0000 0.0000 0.0000
Ge1 0.3333 0.6667 0.0000
Pb1 0.6667 0.3333 0.5000
O1 0.0479 0.3529 0.2011
```

Top 10 peaks for 5 to 70 degrees two-theta, in order of rising 2θ:
2θ (°)	Rel. int.	hkl
19.12	11.1	1 0 0
25.24	100.0	1 0 1
32.98	10.5	0 0 2
33.44	35.7	1 1 0
42.35	24.9	2 0 1
47.68	37.5	2 -1 2
54.40	12.2	1 0 3
55.01	24.5	3 -1 1
59.77	10.6	3 0 0
69.99	8.8	3 0 2



[7]
Starting from a PBE-relaxed structure, the powder X-ray diffraction pattern of PuGe2PbO8 was calculated for Cu Kα X-rays.
Neutral-atom scattering factors, no anomalous dispersion.

Atomic structure:
```
data_PuGe2PbO8
_symmetry_space_group_name_H-M 'R 3 2'
_symmetry_Int_Tables_number 155
_symmetry_space_group_name_Hall 'R 3 2"'
_cell_length_a 5.0235
_cell_length_b 5.0235
_cell_length_c 25.6912
_cell_angle_alpha 90.00
_cell_angle_beta 90.00
_cell_angle_gamma 120.00
loop_
_atom_site_label
_atom_site_fract_x
_atom_site_fract_y
_atom_site_fract_z
Pu1 0.0000 0.0000 0.0000
Ge1 0.0000 0.0000 0.2522
Pb1 0.0000 0.0000 0.5000
O1 0.0000 0.0000 0.1850
O2 0.0044 0.3621 0.6134
```

Top 10 peaks for 5 to 70 degrees two-theta, in order of rising 2θ:
2θ (°)	Rel. int.	hkl
21.57	25.8	0 1 2
24.72	100.0	1 0 4
34.72	35.6	0 1 8
35.75	37.0	1 1 0
41.69	16.3	1 1 6
43.95	20.6	0 2 4
50.69	13.7	2 0 8
56.47	27.6	1 1 12
57.89	19.4	2 1 4
63.57	13.5	1 2 8



[8]
Starting from a PBE-relaxed structure, the powder X-ray diffraction pattern of RbGePb2O4 was calculated for Cu Kα X-rays.
Neutral-atom scattering factors, no anomalous dispersion.

Atomic structure:
```
data_RbGePb2O4
_symmetry_space_group_name_H-M 'F m m 2'
_symmetry_Int_Tables_number 42
_symmetry_space_group_name_Hall 'F 2 -2'
_cell_length_a 9.2429
_cell_length_b 9.2547
_cell_length_c 7.0112
_cell_angle_alpha 90.00
_cell_angle_beta 90.00
_cell_angle_gamma 90.00
loop_
_atom_site_label
_atom_site_fract_x
_atom_site_fract_y
_atom_site_fract_z
Rb1 0.0000 0.0000 0.0000
Ge1 0.0000 0.0000 0.4999
Pb1 0.2500 0.2500 0.2509
O1 0.0000 0.1588 0.6482
O2 0.1587 0.0000 0.3513
```

Top 10 peaks for 5 to 70 degrees two-theta, in order of rising 2θ:
2θ (°)	Rel. int.	hkl
19.19	25.7	2 0 0
27.27	68.7	2 2 0
32.04	100.0	2 0 2
37.62	11.8	2 2 2
38.95	31.2	4 0 0
51.29	56.5	4 2 2
59.87	18.4	2 2 4
63.63	15.2	6 2 0
66.23	12.2	6 0 2
67.00	12.2	0 4 4



[9]
Starting from a PBE-relaxed structure, the powder X-ray diffraction pattern of ReGe2PbO8 was calculated for Cu Kα X-rays.
Neutral-atom scattering factors, no anomalous dispersion.

Atomic structure:
```
data_ReGe2PbO8
_symmetry_space_group_name_H-M 'R 3 2'
_symmetry_Int_Tables_number 155
_symmetry_space_group_name_Hall 'R 3 2"'
_cell_length_a 4.7911
_cell_length_b 4.7911
_cell_length_c 25.7145
_cell_angle_alpha 90.00
_cell_angle_beta 90.00
_cell_angle_gamma 120.00
loop_
_atom_site_label
_atom_site_fract_x
_atom_site_fract_y
_atom_site_fract_z
Re1 0.0000 0.0000 0.0000
Ge1 0.0000 0.0000 0.2606
Pb1 0.0000 0.0000 0.5000
O1 0.0000 0.0000 0.1935
O2 0.0052 0.3111 0.0485
```

Top 10 peaks for 5 to 70 degrees two-theta, in order of rising 2θ:
2θ (°)	Rel. int.	hkl
22.52	21.7	0 1 2
25.55	100.0	1 0 4
35.32	34.3	0 1 8
37.54	35.5	1 1 0
43.27	13.3	1 1 6
45.97	20.6	0 2 4
52.50	12.1	2 0 8
57.72	19.7	1 1 12
60.79	17.9	2 1 4
66.32	12.0	1 2 8



[10]
Starting from a PBE-relaxed structure, the powder X-ray diffraction pattern of SrGe12Pb2O27 was calculated for Cu Kα X-rays.
Neutral-atom scattering factors, no anomalous dispersion.

Atomic structure:
```
data_SrGe12Pb2O27
_symmetry_space_group_name_H-M 'C 1 2 1'
_symmetry_Int_Tables_number 5
_symmetry_space_group_name_Hall 'C 2y'
_cell_length_a 20.0011
_cell_length_b 11.5543
_cell_length_c 4.8318
_cell_angle_alpha 90.00
_cell_angle_beta 90.02
_cell_angle_gamma 90.00
loop_
_atom_site_label
_atom_site_fract_x
_atom_site_fract_y
_atom_site_fract_z
Sr1 0.0000 0.0000 0.0000
Ge1 0.0000 0.3262 0.0000
Ge2 0.0000 0.5076 0.5000
Ge3 0.0746 0.7437 0.6008
Ge4 0.0898 0.2368 0.4999
Ge5 0.1663 0.8276 0.1076
Ge6 0.1703 0.0077 0.5987
Ge7 0.2455 0.2319 0.4002
Pb1 0.1617 0.4887 0.0014
O1 0.0000 0.8169 0.5000
O2 0.0304 0.2026 0.2372
O3 0.0468 0.4347 0.2377
O4 0.0544 0.5981 0.7061
O5 0.0772 0.3435 0.7628
O6 0.0891 0.8394 0.8799
O7 0.1067 0.1090 0.7048
O8 0.1246 0.9424 0.3276
O9 0.1302 0.7083 0.3304
O10 0.1625 0.2743 0.2956
O11 0.1989 0.7066 0.8782
O12 0.2105 0.9364 0.8768
O13 0.2438 0.0839 0.5008
O14 0.2443 0.8332 0.3293
```

Top 10 peaks for 5 to 70 degrees two-theta, in order of rising 2θ:
2θ (°)	Rel. int.	hkl
24.01	100.0	0 2 1
26.74	14.5	3 3 0
30.01	23.4	4 2 1
30.97	59.8	6 2 0
32.63	83.7	6 0 1
45.60	27.2	3 5 1
49.17	22.6	6 2 2
51.07	25.6	0 6 1
55.08	20.0	6 6 0
68.37	12.8	6 6 2



[11]
Starting from a PBE-relaxed structure, the powder X-ray diffraction pattern of SrGePbO4 was calculated for Cu Kα X-rays.
Neutral-atom scattering factors, no anomalous dispersion.

Atomic structure:
```
data_SrGePbO4
_symmetry_space_group_name_H-M 'P 21 21 21'
_symmetry_Int_Tables_number 19
_symmetry_space_group_name_Hall 'P 2ac 2ab'
_cell_length_a 6.0892
_cell_length_b 7.4208
_cell_length_c 10.0854
_cell_angle_alpha 90.00
_cell_angle_beta 90.00
_cell_angle_gamma 90.00
loop_
_atom_site_label
_atom_site_fract_x
_atom_site_fract_y
_atom_site_fract_z
Sr1 0.0182 0.2498 0.2066
Ge1 0.0253 0.9632 0.5881
Pb1 0.0688 0.4388 0.5908
O1 0.0444 0.5629 0.0676
O2 0.1081 0.7384 0.5479
O3 0.2113 0.4886 0.8073
O4 0.2480 0.9492 0.1756
```

Top 10 peaks for 5 to 70 degrees two-theta, in order of rising 2θ:
2θ (°)	Rel. int.	hkl
20.82	22.8	1 1 1
22.90	23.7	1 0 2
25.89	22.4	1 1 2
28.16	27.7	1 2 0
29.34	43.2	2 0 0
29.55	83.2	1 2 1
30.37	100.0	1 0 3
30.67	22.7	2 0 1
36.05	22.4	0 2 3
42.38	31.1	2 2 2